No. 1
Diffraction record for FeSi4P4. The XRD peak list is simulated, not measured: it uses DFT lattice parameters and positions (GGA-PBE) and Cu Kα, 1.54184 Å.
Kinematic intensities with the Lorentz-polarization factor, no thermal factor.

Most intense lines, 10 to 90 degrees two-theta, in order of rising 2θ:
31.0°, I 1000, hkl 1 0 2; 34.8°, I 148, hkl 1 2 1; 38.7°, I 87, hkl 0 2 1; 50.7°, I 188, hkl 2 0 -1; 50.7°, I 139, hkl 0 1 -3; 51.0°, I 160, hkl 2 -1 2

```
data_FeSi4P4
_cell_length_a 4.887
_cell_length_b 5.550
_cell_length_c 6.081
_cell_angle_alpha 85.41
_cell_angle_beta 68.42
_cell_angle_gamma 70.47
_symmetry_space_group_name_H-M 'P 1'
_symmetry_Int_Tables_number 1
_symmetry_space_group_name_Hall 'P 1'
loop_
_atom_site_label
_atom_site_fract_x
_atom_site_fract_y
_atom_site_fract_z
_atom_site_occupancy
Fe1 0.000 0.000 0.000 1
Si1 0.239 0.337 0.430 1
Si2 0.344 0.599 0.886 1
Si3 0.681 0.777 0.216 1
Si4 0.847 0.971 0.697 1
P1 0.156 0.009 0.308 1
P2 0.328 0.217 0.769 1
P3 0.636 0.398 0.116 1
P4 0.763 0.640 0.564 1
```

=====

No. 2
Diffraction record for Sr6Li2Al. The XRD peak list is simulated, not measured: it uses DFT lattice parameters and positions (GGA-PBE) and Cu Kα, 1.54184 Å.
Kinematic intensities with the Lorentz-polarization factor, no thermal factor.

Most intense lines, 10 to 90 degrees two-theta, in order of rising 2θ:
22.4°, I 669, hkl 1 1 3; 24.6°, I 309, hkl 0 4 0; 28.5°, I 1000, hkl 1 3 3; 30.6°, I 266, hkl 0 0 6; 30.7°, I 270, hkl 2 0 0; 49.3°, I 201, hkl 1 7 3

```
data_Sr6Li2Al
_cell_length_a 5.821
_cell_length_b 14.463
_cell_length_c 17.552
_cell_angle_alpha 90.00
_cell_angle_beta 90.00
_cell_angle_gamma 90.00
_symmetry_space_group_name_H-M 'F m m m'
_symmetry_Int_Tables_number 69
_symmetry_space_group_name_Hall '-F 2 2'
loop_
_atom_site_label
_atom_site_fract_x
_atom_site_fract_y
_atom_site_fract_z
_atom_site_occupancy
Sr1 0.000 0.135 0.000 1
Sr2 0.000 0.141 0.339 1
Li1 0.000 0.000 0.167 1
Al1 0.000 0.000 0.500 1
```

=====

No. 3
Diffraction record for LaY3Ho5. The XRD peak list is simulated, not measured: it uses DFT lattice parameters and positions (GGA-PBE) and Cu Kα, 1.54184 Å.
Kinematic intensities with the Lorentz-polarization factor, no thermal factor.

Most intense lines, 10 to 90 degrees two-theta, in order of rising 2θ:
28.8°, I 531, hkl 2 1 3; 29.1°, I 488, hkl 2 2 0; 31.0°, I 1000, hkl 2 0 4; 43.4°, I 188, hkl 4 1 1; 46.6°, I 180, hkl 4 1 3; 52.8°, I 165, hkl 4 2 4

```
data_LaY3Ho5
_cell_length_a 8.675
_cell_length_b 8.675
_cell_length_c 15.429
_cell_angle_alpha 90.00
_cell_angle_beta 90.00
_cell_angle_gamma 90.00
_symmetry_space_group_name_H-M 'I 4/m c m'
_symmetry_Int_Tables_number 140
_symmetry_space_group_name_Hall '-I 4 2c'
loop_
_atom_site_label
_atom_site_fract_x
_atom_site_fract_y
_atom_site_fract_z
_atom_site_occupancy
La1 0.000 0.500 0.250 1
Y1 0.000 0.000 0.250 1
Y2 0.120 0.380 0.000 1
Ho1 0.000 0.000 0.000 1
Ho2 0.201 0.299 0.363 1
```

=====

No. 4
Diffraction record for Th4GeRu. The XRD peak list is simulated, not measured: it uses DFT lattice parameters and positions (GGA-PBE) and Cu Kα, 1.54184 Å.
Kinematic intensities with the Lorentz-polarization factor, no thermal factor.

Most intense lines, 10 to 90 degrees two-theta, in order of rising 2θ:
31.2°, I 1000, hkl 2 1 1; 38.7°, I 223, hkl 2 0 2; 39.2°, I 241, hkl 3 1 0; 53.4°, I 289, hkl 3 3 0; 54.2°, I 184, hkl 4 1 1; 62.3°, I 174, hkl 3 3 2

```
data_Th4GeRu
_cell_length_a 7.271
_cell_length_b 7.271
_cell_length_c 6.055
_cell_angle_alpha 90.00
_cell_angle_beta 90.00
_cell_angle_gamma 90.00
_symmetry_space_group_name_H-M 'P 4/m c c'
_symmetry_Int_Tables_number 124
_symmetry_space_group_name_Hall '-P 4 2c'
loop_
_atom_site_label
_atom_site_fract_x
_atom_site_fract_y
_atom_site_fract_z
_atom_site_occupancy
Th1 0.155 0.327 0.000 1
Ge1 0.500 0.500 0.250 1
Ru1 0.000 0.000 0.250 1
```